Simulated XRD peak list of Sr3MgCr2S2O5 for λ = 1.5418 Å (Cu Kα), from a structure optimized by DFT (GGA+U).
Peak positions follow from Bragg's law for the DFT cell and can differ from measured ones.

Principal peaks in the range 15° ≤ 2θ ≤ 90°, most intense first:
Position (°2θ)  d_spacing  I_rel
32.4  2.763  100
31.9  2.805  45
57.2  1.611  37
45.7  1.983  35
37.8  2.379  20
58.1  1.587  13
37.6  2.390  11
66.7  1.402  10
67.8  1.381  9
43.4  2.085  8

Structure:
```
Sr3MgCr2S2O5
1.0
-1.9832 1.9832 13.4768
1.9832 -1.9832 13.4768
1.9832 1.9832 -13.4768
Sr Mg Cr S O
3 1 2 2 5
direct
0.0000 0.0000 0.0000
0.1377 0.1377 0.0000
0.8623 0.8623 0.0000
0.2500 0.7500 0.5000
0.4289 0.4289 0.0000
0.5711 0.5711 0.0000
0.3070 0.3070 0.0000
0.6930 0.6930 0.0000
0.0804 0.5804 0.5000
0.4196 0.9196 0.5000
0.5000 0.5000 0.0000
0.5796 0.0796 0.5000
0.9204 0.4204 0.5000
```